No. 1
Computed XRD peak list of PuUMo for Cu Kα (weighted mean of Kα1 and Kα2), from DFT lattice parameters and positions (PBE).
No peak broadening, texture or thermal motion is included.

```
data_PuUMo
_space_group_name_H-M_alt 'P 3 m 1'
_space_group_IT_number 156
_space_group_name_Hall 'P 3 -2"'
_cell_length_a 4.5619
_cell_length_b 4.5619
_cell_length_c 3.2068
_cell_angle_alpha 90.00
_cell_angle_beta 90.00
_cell_angle_gamma 120.00
loop_
_atom_site_label
_atom_site_type_symbol
_atom_site_fract_x
_atom_site_fract_y
_atom_site_fract_z
Pu1 Pu 0.0000 0.0000 0.0000
U1 U 0.3333 0.6667 0.7918
Mo1 Mo 0.6667 0.3333 0.3992
```

Principal peaks in the range 15 to 90 degrees two-theta, in order of rising 2θ:
2θ = 22.51°, rel. 20, hkl 1 0 0
2θ = 36.07°, rel. 100, hkl 1 0 1
2θ = 39.51°, rel. 88, hkl 1 1 0
2θ = 49.01°, rel. 23, hkl 1 1 1
2θ = 54.56°, rel. 31, hkl 0 2 1
2θ = 62.52°, rel. 23, hkl 0 1 2
2θ = 69.43°, rel. 31, hkl 2 1 1
2θ = 89.74°, rel. 19, hkl 1 2 2


No. 2
Computed XRD peak list of Br2O for Cu Kα (weighted mean of Kα1 and Kα2), from DFT lattice parameters and positions (PBE).
No peak broadening, texture or thermal motion is included.

```
data_Br2O
_space_group_name_H-M_alt 'P n a 21'
_space_group_IT_number 33
_space_group_name_Hall 'P 2c -2n'
_cell_length_a 10.4542
_cell_length_b 4.4043
_cell_length_c 7.0713
_cell_angle_alpha 90.00
_cell_angle_beta 90.00
_cell_angle_gamma 90.00
loop_
_atom_site_label
_atom_site_type_symbol
_atom_site_fract_x
_atom_site_fract_y
_atom_site_fract_z
Br1 Br 0.0057 0.1208 0.0000
Br2 Br 0.2172 0.9595 0.1834
O1 O 0.1502 0.7177 0.3763
```

Principal peaks in the range 15 to 90 degrees two-theta, in order of rising 2θ:
2θ = 21.90°, rel. 63, hkl 1 1 0
2θ = 23.80°, rel. 44, hkl 0 1 1
2θ = 25.30°, rel. 99, hkl 1 1 1
2θ = 29.37°, rel. 45, hkl 2 1 1
2θ = 30.52°, rel. 100, hkl 2 0 2
2θ = 34.31°, rel. 28, hkl 4 0 0
2θ = 35.21°, rel. 27, hkl 3 1 1
2θ = 41.78°, rel. 39, hkl 3 1 2


No. 3
Computed XRD peak list of Na3Cd2Sb4Pd2 for Cu Kα (weighted mean of Kα1 and Kα2), from DFT lattice parameters and positions (PBE).
No peak broadening, texture or thermal motion is included.

```
data_Na3Cd2Sb4Pd2
_space_group_name_H-M_alt 'P -3 m 1'
_space_group_IT_number 164
_space_group_name_Hall '-P 3 2"'
_cell_length_a 4.8685
_cell_length_b 4.8685
_cell_length_c 13.0205
_cell_angle_alpha 90.00
_cell_angle_beta 90.00
_cell_angle_gamma 120.00
loop_
_atom_site_label
_atom_site_type_symbol
_atom_site_fract_x
_atom_site_fract_y
_atom_site_fract_z
Na1 Na 0.0000 0.0000 0.0000
Na2 Na 0.0000 0.0000 0.2969
Cd1 Cd 0.3333 0.6667 0.1140
Sb1 Sb 0.3333 0.6667 0.4174
Sb2 Sb 0.3333 0.6667 0.8397
Pd1 Pd 0.3333 0.6667 0.6202
```

Principal peaks in the range 15 to 90 degrees two-theta, in order of rising 2θ:
2θ = 21.07°, rel. 64, hkl 1 0 0
2θ = 27.40°, rel. 32, hkl 0 0 4
2θ = 29.54°, rel. 27, hkl 0 1 3
2θ = 34.82°, rel. 37, hkl 0 1 4
2θ = 36.93°, rel. 100, hkl 1 1 0
2θ = 40.72°, rel. 20, hkl 1 0 5
2θ = 46.59°, rel. 45, hkl 1 1 4
2θ = 66.53°, rel. 17, hkl 3 0 0


No. 4
Computed XRD peak list of Mg5Cd4Pb2 for Cu Kα (weighted mean of Kα1 and Kα2), from DFT lattice parameters and positions (PBE).
No peak broadening, texture or thermal motion is included.

```
data_Mg5Cd4Pb2
_space_group_name_H-M_alt 'P b a m'
_space_group_IT_number 55
_space_group_name_Hall '-P 2 2ab'
_cell_length_a 7.4016
_cell_length_b 20.3334
_cell_length_c 3.4845
_cell_angle_alpha 90.00
_cell_angle_beta 90.00
_cell_angle_gamma 90.00
loop_
_atom_site_label
_atom_site_type_symbol
_atom_site_fract_x
_atom_site_fract_y
_atom_site_fract_z
Mg1 Mg 0.0000 0.0000 0.0000
Mg2 Mg 0.1301 0.4169 0.0000
Mg3 Mg 0.2370 0.6636 0.0000
Cd1 Cd 0.0556 0.8754 0.5000
Cd2 Cd 0.1835 0.5415 0.5000
Pb1 Pb 0.0954 0.2798 0.5000
```

Principal peaks in the range 15 to 90 degrees two-theta, in order of rising 2θ:
2θ = 21.20°, rel. 33, hkl 1 4 0
2θ = 24.98°, rel. 51, hkl 1 5 0
2θ = 25.57°, rel. 100, hkl 0 0 1
2θ = 27.46°, rel. 64, hkl 2 3 0
2θ = 33.13°, rel. 49, hkl 1 7 0
2θ = 33.45°, rel. 54, hkl 1 4 1
2θ = 36.05°, rel. 66, hkl 1 5 1
2θ = 37.87°, rel. 80, hkl 2 3 1


No. 5
Computed XRD peak list of LiCaAcHo for Cu Kα (weighted mean of Kα1 and Kα2), from DFT lattice parameters and positions (PBE).
No peak broadening, texture or thermal motion is included.

```
data_LiCaAcHo
_space_group_name_H-M_alt 'F -4 3 m'
_space_group_IT_number 216
_space_group_name_Hall 'F -4 2 3'
_cell_length_a 8.2516
_cell_length_b 8.2516
_cell_length_c 8.2516
_cell_angle_alpha 90.00
_cell_angle_beta 90.00
_cell_angle_gamma 90.00
loop_
_atom_site_label
_atom_site_type_symbol
_atom_site_fract_x
_atom_site_fract_y
_atom_site_fract_z
Li1 Li 0.0000 0.0000 0.0000
Ca1 Ca 0.2500 0.2500 0.7500
Ac1 Ac 0.2500 0.2500 0.2500
Ho1 Ho 0.0000 0.0000 0.5000
```

Principal peaks in the range 15 to 90 degrees two-theta, in order of rising 2θ:
2θ = 18.63°, rel. 66, hkl 1 1 1
2θ = 30.65°, rel. 100, hkl 2 2 0
2θ = 36.10°, rel. 40, hkl 3 1 1
2θ = 43.89°, rel. 19, hkl 4 0 0
2θ = 48.06°, rel. 18, hkl 3 3 1
2θ = 54.48°, rel. 40, hkl 4 2 2
2θ = 72.44°, rel. 17, hkl 6 2 0
2θ = 88.72°, rel. 21, hkl 6 4 2


No. 6
Computed XRD peak list of K2NaH4Pd for Cu Kα (weighted mean of Kα1 and Kα2), from DFT lattice parameters and positions (PBE).
No peak broadening, texture or thermal motion is included.

```
data_K2NaH4Pd
_space_group_name_H-M_alt 'F d d d'
_space_group_IT_number 70
_cell_length_a 5.5522
_cell_length_b 11.9358
_cell_length_c 21.3970
_cell_angle_alpha 90.00
_cell_angle_beta 90.00
_cell_angle_gamma 90.00
loop_
_space_group_symop_operation_xyz
'x,y,z'
'-x,-y,-z'
'-x+1/4,-y+1/4,z'
'x+1/4,y+1/4,-z'
'x,-y+1/4,-z+1/4'
'-x,y+1/4,z+1/4'
'-x+1/4,y,-z+1/4'
'x+1/4,-y,z+1/4'
'x,y+1/2,z+1/2'
'-x,-y+1/2,-z+1/2'
'-x+1/4,-y+3/4,z+1/2'
'x+1/4,y+3/4,-z+1/2'
'x,-y+3/4,-z+3/4'
'-x,y+3/4,z+3/4'
'-x+1/4,y+1/2,-z+3/4'
'x+1/4,-y+1/2,z+3/4'
'x+1/2,y,z+1/2'
'-x+1/2,-y,-z+1/2'
'-x+3/4,-y+1/4,z+1/2'
'x+3/4,y+1/4,-z+1/2'
'x+1/2,-y+1/4,-z+3/4'
'-x+1/2,y+1/4,z+3/4'
'-x+3/4,y,-z+3/4'
'x+3/4,-y,z+3/4'
'x+1/2,y+1/2,z'
'-x+1/2,-y+1/2,-z'
'-x+3/4,-y+3/4,z'
'x+3/4,y+3/4,-z'
'x+1/2,-y+3/4,-z+1/4'
'-x+1/2,y+3/4,z+1/4'
'-x+3/4,y+1/2,-z+1/4'
'x+3/4,-y+1/2,z+1/4'
loop_
_atom_site_label
_atom_site_type_symbol
_atom_site_fract_x
_atom_site_fract_y
_atom_site_fract_z
K1 K 0.1250 0.1250 0.3017
Na1 Na 0.1250 0.1250 0.1250
H1 H 0.0687 0.2694 0.8576
Pd1 Pd 0.1250 0.1250 0.6250
```

Principal peaks in the range 15 to 90 degrees two-theta, in order of rising 2θ:
2θ = 16.57°, rel. 47, hkl 0 0 4
2θ = 17.01°, rel. 44, hkl 0 2 2
2θ = 21.61°, rel. 100, hkl 1 1 3
2θ = 29.17°, rel. 75, hkl 0 2 6
2θ = 29.95°, rel. 34, hkl 0 4 0
2θ = 30.35°, rel. 41, hkl 1 3 3
2θ = 35.67°, rel. 44, hkl 2 2 0
2θ = 51.77°, rel. 28, hkl 2 4 6


No. 7
Computed XRD peak list of HoFeCo3 for Cu Kα (weighted mean of Kα1 and Kα2), from DFT lattice parameters and positions (PBE).
No peak broadening, texture or thermal motion is included.

```
data_HoFeCo3
_space_group_name_H-M_alt 'I m m a'
_space_group_IT_number 74
_space_group_name_Hall '-I 2b 2'
_cell_length_a 4.8526
_cell_length_b 6.6083
_cell_length_c 8.9270
_cell_angle_alpha 90.00
_cell_angle_beta 90.00
_cell_angle_gamma 90.00
loop_
_atom_site_label
_atom_site_type_symbol
_atom_site_fract_x
_atom_site_fract_y
_atom_site_fract_z
Ho1 Ho 0.0000 0.2500 0.0105
Fe1 Fe 0.0000 0.0000 0.5000
Co1 Co 0.0000 0.2500 0.3083
Co2 Co 0.2500 0.0652 0.7500
```

Principal peaks in the range 15 to 90 degrees two-theta, in order of rising 2θ:
2θ = 20.84°, rel. 27, hkl 1 0 1
2θ = 34.34°, rel. 100, hkl 1 2 1
2θ = 35.38°, rel. 28, hkl 1 0 3
2θ = 40.42°, rel. 48, hkl 0 0 4
2θ = 42.40°, rel. 62, hkl 2 0 2
2θ = 45.06°, rel. 88, hkl 1 2 3
2θ = 46.43°, rel. 34, hkl 2 2 0
2θ = 72.38°, rel. 28, hkl 3 2 3


No. 8
Computed XRD peak list of Mg7InPb2 for Cu Kα (weighted mean of Kα1 and Kα2), from DFT lattice parameters and positions (PBE).
No peak broadening, texture or thermal motion is included.

```
data_Mg7InPb2
_space_group_name_H-M_alt 'I 4/m m m'
_space_group_IT_number 139
_space_group_name_Hall '-I 4 2'
_cell_length_a 4.8743
_cell_length_b 4.8743
_cell_length_c 21.7422
_cell_angle_alpha 90.00
_cell_angle_beta 90.00
_cell_angle_gamma 90.00
loop_
_atom_site_label
_atom_site_type_symbol
_atom_site_fract_x
_atom_site_fract_y
_atom_site_fract_z
Mg1 Mg 0.0000 0.0000 0.0000
Mg2 Mg 0.0000 0.5000 0.0880
Mg3 Mg 0.0000 0.5000 0.2500
In1 In 0.0000 0.0000 0.5000
Pb1 Pb 0.0000 0.0000 0.1695
```

Principal peaks in the range 15 to 90 degrees two-theta, in order of rising 2θ:
2θ = 21.98°, rel. 100, hkl 1 0 3
2θ = 25.85°, rel. 21, hkl 1 1 0
2θ = 35.96°, rel. 58, hkl 1 1 6
2θ = 36.88°, rel. 27, hkl 2 0 0
2θ = 41.72°, rel. 21, hkl 1 0 9
2θ = 43.35°, rel. 35, hkl 2 1 3
2θ = 56.89°, rel. 16, hkl 2 1 9
2θ = 65.85°, rel. 20, hkl 3 1 6